(1)
Simulated PXRD pattern
Compound: Li2In8Sn
Radiation: Cu Kα (weighted mean of Kα1 and Kα2)
Structure: a DFT-relaxed cell (GGA-PBE, Alexandria)
Peak positions follow from Bragg's law for the DFT cell and can differ from measured ones.

a = 4.7624 Å, b = 4.7624 Å, c = 12.5812 Å
α = 90.00°, β = 90.00°, γ = 90.00°
Space group P4/mmm (No. 123)
Symmetry-distinct sites (fractional):
Li: 0.0000 0.0000 0.1585 x2
In: 0.0000 0.5000 0.0000 x2
In: 0.0000 0.5000 0.3366 x4
In: 0.5000 0.5000 0.1711 x2
Sn: 0.0000 0.0000 0.5000 x1

Peak list (8 most intense, 2θ from 5° to 70°, in order of rising 2θ)
19.93 deg, rel. 17; 23.43 deg, rel. 13; 34.15 deg, rel. 100; 37.78 deg, rel. 37; 43.12 deg, rel. 17; 54.50 deg, rel. 13; 58.66 deg, rel. 20; 65.90 deg, rel. 28

***

(2)
Simulated PXRD pattern
Compound: HoB3W
Radiation: Cu Kα (weighted mean of Kα1 and Kα2)
Structure: a DFT-relaxed cell (GGA-PBE, Alexandria)
Peak positions follow from Bragg's law for the DFT cell and can differ from measured ones.

a = 3.5203 Å, b = 19.8392 Å, c = 3.1804 Å
α = 90.00°, β = 90.00°, γ = 90.00°
Space group Cmcm (No. 63)
Symmetry-distinct sites (fractional):
Ho: 0.0000 0.0737 0.2500 x4
B: 0.0000 0.3275 0.7500 x4
B: 0.0000 0.3762 0.2500 x4
B: 0.0000 0.4773 0.2500 x4
W: 0.0000 0.2073 0.7500 x4

Peak list (8 most intense, 2θ from 5° to 70°, in order of rising 2θ)
8.91 deg, rel. 28; 25.70 deg, rel. 57; 33.47 deg, rel. 89; 36.22 deg, rel. 21; 40.59 deg, rel. 100; 40.88 deg, rel. 67; 63.22 deg, rel. 29; 65.09 deg, rel. 31

***

(3)
Simulated PXRD pattern
Compound: Ac8Pr3Nd2
Radiation: Cu Kα (weighted mean of Kα1 and Kα2)
Structure: a DFT-relaxed cell (GGA-PBE, Alexandria)
Peak positions follow from Bragg's law for the DFT cell and can differ from measured ones.

a = 8.3842 Å, b = 21.4453 Å, c = 6.2210 Å
α = 90.00°, β = 90.00°, γ = 90.00°
Space group Cmmm (No. 65)
Symmetry-distinct sites (fractional):
Ac: 0.0000 0.1336 0.0000 x4
Ac: 0.0000 0.3262 0.0000 x4
Ac: 0.2106 0.3945 0.5000 x8
Pr: 0.0000 0.0000 0.5000 x2
Pr: 0.2089 0.5000 0.0000 x4
Nd: 0.0000 0.2417 0.5000 x4

Peak list (8 most intense, 2θ from 5° to 70°, in order of rising 2θ)
22.78 deg, rel. 22; 25.62 deg, rel. 20; 27.41 deg, rel. 37; 28.70 deg, rel. 48; 28.81 deg, rel. 39; 30.65 deg, rel. 100; 52.08 deg, rel. 23; 61.19 deg, rel. 13

***

(4)
Simulated PXRD pattern
Compound: Nd8GeIr3Br4
Radiation: Cu Kα (weighted mean of Kα1 and Kα2)
Structure: a DFT-relaxed cell (GGA-PBE, Alexandria)
Peak positions follow from Bragg's law for the DFT cell and can differ from measured ones.

a = 8.4528 Å, b = 8.4528 Å, c = 23.0758 Å
α = 90.00°, β = 90.00°, γ = 120.00°
Space group R-3m (No. 166, hexagonal axes)
Symmetry-distinct sites (fractional):
Nd: 0.0000 0.0000 0.2327 x6
Nd: 0.0126 0.5063 0.7675 x18
Ge: 0.0000 0.0000 0.5000 x3
Ir: 0.0000 0.5000 0.5000 x9
Br: 0.0000 0.0000 0.0000 x3
Br: 0.0000 0.5000 0.0000 x9

Peak list (8 most intense, 2θ from 5° to 70°, in order of rising 2θ)
11.50 deg, rel. 32; 28.89 deg, rel. 100; 36.69 deg, rel. 16; 39.79 deg, rel. 30; 42.79 deg, rel. 38; 50.12 deg, rel. 11; 52.45 deg, rel. 19; 69.93 deg, rel. 16

***

(5)
Simulated PXRD pattern
Compound: Ba2YCu3Pb2O8
Radiation: Cu Kα (weighted mean of Kα1 and Kα2)
Structure: a DFT-relaxed cell (GGA-PBE, Alexandria)
Peak positions follow from Bragg's law for the DFT cell and can differ from measured ones.

a = 3.9194 Å, b = 3.8750 Å, c = 16.5933 Å
α = 90.00°, β = 90.78°, γ = 90.00°
Space group P2/m (No. 10)
Symmetry-distinct sites (fractional):
Ba: 0.0154 0.0000 0.2237 x2
Y: 0.0000 0.0000 0.0000 x1
Cu: 0.0000 0.0000 0.5000 x1
Cu: 0.4938 0.5000 0.9025 x2
Pb: 0.4990 0.5000 0.3915 x2
O: 0.0056 0.5000 0.0875 x2
O: 0.1096 0.0000 0.3916 x2
O: 0.4826 0.5000 0.7413 x2
O: 0.4948 0.0000 0.9135 x2

Peak list (8 most intense, 2θ from 5° to 70°, in order of rising 2θ)
5.33 deg, rel. 23; 31.18 deg, rel. 31; 31.60 deg, rel. 100; 32.49 deg, rel. 90; 42.44 deg, rel. 15; 46.33 deg, rel. 24; 46.89 deg, rel. 21; 57.42 deg, rel. 26

***

(6)
Simulated PXRD pattern
Compound: PaHgS2
Radiation: Cu Kα (weighted mean of Kα1 and Kα2)
Structure: a DFT-relaxed cell (GGA-PBE, Alexandria)
Peak positions follow from Bragg's law for the DFT cell and can differ from measured ones.

a = 4.0497 Å, b = 4.0497 Å, c = 21.0794 Å
α = 90.00°, β = 90.00°, γ = 120.00°
Space group P6_3/mmc (No. 194)
Symmetry-distinct sites (fractional):
Pa: 0.0000 0.0000 0.0000 x2
Hg: 0.3333 0.6667 0.2500 x2
S: 0.3333 0.6667 0.0663 x4

Peak list (8 most intense, 2θ from 5° to 70°, in order of rising 2θ)
16.82 deg, rel. 95; 25.75 deg, rel. 47; 26.79 deg, rel. 100; 33.23 deg, rel. 32; 36.19 deg, rel. 63; 44.76 deg, rel. 34; 48.14 deg, rel. 41; 50.52 deg, rel. 23